# 1
Starting from DFT lattice parameters and positions (GGA-PBE), the powder X-ray diffraction pattern of Ta2NiS4 was simulated for copper Kα.

Cell: 3.3505 3.3505 12.3398 Å, 90.00 90.00 120.00°
Element x y z (fractional)
Ta 0.0000 0.0000 0.2393
Ta 0.0000 0.0000 0.7607
Ni 0.0000 0.0000 0.0000
S 0.3333 0.6667 0.1130
S 0.3333 0.6667 0.3649
S 0.6667 0.3333 0.6351
S 0.6667 0.3333 0.8870

Top 8 peaks for 2θ = 10–90°, by angle:
Position (°2θ), d [Å], I_rel
14.4, 6.170, 90.3
28.9, 3.085, 16.6
30.8, 2.902, 69.1
34.1, 2.626, 69.8
42.8, 2.114, 100.0
54.8, 1.676, 47.6
71.9, 1.313, 21.1
85.6, 1.135, 17.2

***

# 2
Starting from DFT lattice parameters and positions (GGA-PBE), the powder X-ray diffraction pattern of Ta4NiS8 was simulated for copper Kα.

Cell: 3.3691 3.3691 24.4260 Å, 90.00 90.00 120.00°
Element x y z (fractional)
Ta 0.0000 0.0000 0.1240
Ta 0.0000 0.0000 0.3751
Ta 0.0000 0.0000 0.6249
Ta 0.0000 0.0000 0.8760
Ni 0.0000 0.0000 0.0000
S 0.3333 0.6667 0.0591
S 0.3333 0.6667 0.1875
S 0.3333 0.6667 0.5615
S 0.3333 0.6667 0.6885
S 0.6667 0.3333 0.3115
S 0.6667 0.3333 0.4385
S 0.6667 0.3333 0.8125
S 0.6667 0.3333 0.9409

Top 8 peaks for 2θ = 10–90°, by angle:
Position (°2θ), d [Å], I_rel
14.5, 6.106, 100.0
30.6, 2.918, 52.2
34.1, 2.633, 81.3
42.9, 2.109, 83.2
54.5, 1.685, 26.4
55.0, 1.669, 20.3
56.7, 1.624, 18.7
71.7, 1.316, 17.9

***

# 3
Starting from DFT lattice parameters and positions (GGA-PBE), the powder X-ray diffraction pattern of Ta9Ni2S6 was simulated for copper Kα.

Cell: 10.1999 10.1999 3.3965 Å, 90.00 90.00 120.00°
Element x y z (fractional)
Ta 0.0000 0.4543 0.0000
Ta 0.1974 0.7368 0.5000
Ta 0.2632 0.4605 0.5000
Ta 0.4543 0.0000 0.0000
Ta 0.4605 0.2632 0.5000
Ta 0.5395 0.8026 0.5000
Ta 0.5457 0.5457 0.0000
Ta 0.7368 0.1974 0.5000
Ta 0.8026 0.5395 0.5000
Ni 0.3333 0.6667 0.0000
Ni 0.6667 0.3333 0.0000
S 0.0000 0.2715 0.5000
S 0.0000 0.7044 0.0000
S 0.2715 0.0000 0.5000
S 0.2956 0.2956 0.0000
S 0.7044 0.0000 0.0000
S 0.7285 0.7285 0.5000

Top 8 peaks for 2θ = 10–90°, by angle:
Position (°2θ), d [Å], I_rel
10.0, 8.833, 100.0
33.3, 2.692, 34.0
36.7, 2.450, 35.9
37.8, 2.381, 60.5
40.9, 2.208, 18.7
44.4, 2.039, 23.3
54.0, 1.699, 13.9
64.9, 1.437, 14.1

***

# 4
Starting from DFT lattice parameters and positions (GGA-PBE), the powder X-ray diffraction pattern of Ti4NiS8 was simulated for copper Kα.

Cell: 6.6409 6.6409 8.1662 Å, 126.39 126.39 61.91°
Element x y z (fractional)
Ti 0.2399 0.2399 0.4941
Ti 0.2446 0.7554 0.0000
Ti 0.7554 0.2446 0.0000
Ti 0.7601 0.7601 0.5059
Ni 0.5000 0.5000 0.5000
S 0.0458 0.0458 0.8344
S 0.0501 0.5394 0.3338
S 0.4606 0.9499 0.6662
S 0.4636 0.4636 0.1735
S 0.5364 0.5364 0.8265
S 0.5394 0.0501 0.3338
S 0.9499 0.4606 0.6662
S 0.9542 0.9542 0.1656

Top 8 peaks for 2θ = 10–90°, by angle:
Position (°2θ), d [Å], I_rel
15.6, 5.695, 43.9
16.9, 5.245, 38.4
34.1, 2.627, 57.7
34.2, 2.619, 100.0
44.1, 2.055, 81.9
44.3, 2.047, 50.0
44.4, 2.040, 28.4
53.8, 1.704, 50.6